No. 1
Diffraction record for Ni3OF5. The X-ray powder pattern is simulated, not measured: it uses a cell relaxed with GGA+U and a wavelength of 1.5418 Å.
No peak broadening, texture or thermal motion is included.

Top 10 peaks for 10 to 80 degrees two-theta, low angle first:
26.81°, intensity 100, hkl 1 1 2
34.69°, intensity 57, hkl 1 0 -2
38.28°, intensity 10, hkl 2 0 2
39.78°, intensity 16, hkl 2 2 1
52.61°, intensity 65, hkl 1 0 4
55.25°, intensity 19, hkl 2 2 4
59.75°, intensity 9, hkl 2 2 -2
62.45°, intensity 11, hkl 1 3 4
66.65°, intensity 13, hkl 1 1 -4
66.91°, intensity 23, hkl 2 -1 4

Structure:
```
data_Ni3OF5
_chemical_formula_sum 'Ni6 O2 F10'
_cell_length_a 5.6272
_cell_length_b 5.6339
_cell_length_c 7.3342
_cell_angle_alpha 72.34
_cell_angle_beta 72.33
_cell_angle_gamma 72.40
_space_group_name_H-M_alt 'P 1'
_space_group_IT_number 1
loop_
_space_group_symop_operation_xyz
'x,y,z'
loop_
_atom_site_label
_atom_site_type_symbol
_atom_site_fract_x
_atom_site_fract_y
_atom_site_fract_z
Ni1 Ni 0.0000 0.0000 0.0000
Ni2 Ni 0.0044 0.9982 0.5052
Ni3 Ni 0.3210 0.3217 0.6699
Ni4 Ni 0.3302 0.3266 0.1777
Ni5 Ni 0.6659 0.6611 0.3376
Ni6 Ni 0.6749 0.6466 0.8372
O1 O 0.2285 0.2262 0.4684
O2 O 0.9707 0.3515 0.8353
F1 F 0.0281 0.6337 0.1672
F2 F 0.1002 0.0940 0.2059
F3 F 0.3040 0.6894 0.5046
F4 F 0.3702 0.9528 0.8370
F5 F 0.4297 0.4207 0.8757
F6 F 0.5664 0.5574 0.1360
F7 F 0.6354 0.0231 0.1713
F8 F 0.6920 0.2978 0.5080
F9 F 0.7716 0.7634 0.5376
F10 F 0.8991 0.8889 0.8025
```



No. 2
Diffraction record for Ni3OF5. The X-ray powder pattern is simulated, not measured: it uses a cell relaxed with GGA+U and a wavelength of 1.5418 Å.
No peak broadening, texture or thermal motion is included.

Top 10 peaks for 10 to 80 degrees two-theta, low angle first:
26.59°, intensity 87, hkl 0 2 0
27.06°, intensity 87, hkl 2 0 -2
34.70°, intensity 100, hkl 1 1 2
38.30°, intensity 17, hkl 2 2 -2
52.36°, intensity 59, hkl 1 3 2
52.90°, intensity 54, hkl 1 1 -4
54.76°, intensity 17, hkl 0 4 0
55.79°, intensity 16, hkl 4 0 -4
59.75°, intensity 16, hkl 4 0 2
66.94°, intensity 40, hkl 1 3 -4

Structure:
```
data_Ni3OF5
_chemical_formula_sum 'Ni12 O4 F20'
_cell_length_a 9.0385
_cell_length_b 6.7050
_cell_length_c 7.2844
_cell_angle_alpha 90.00
_cell_angle_beta 111.62
_cell_angle_gamma 90.00
_space_group_name_H-M_alt 'C 1 2/m 1'
_space_group_IT_number 12
loop_
_space_group_symop_operation_xyz
'x,y,z'
'-x,-y,-z'
'-x,y,-z'
'x,-y,z'
'x+1/2,y+1/2,z'
'-x+1/2,-y+1/2,-z'
'-x+1/2,y+1/2,-z'
'x+1/2,-y+1/2,z'
loop_
_atom_site_label
_atom_site_type_symbol
_atom_site_fract_x
_atom_site_fract_y
_atom_site_fract_z
Ni1 Ni 0.0000 0.0000 0.0000
Ni2 Ni 0.0000 0.0000 0.5000
Ni3 Ni 0.1654 0.5000 0.1658
Ni4 Ni 0.1756 0.5000 0.6631
O1 O 0.0964 0.0000 0.2956
F1 F 0.0000 0.3038 0.0000
F2 F 0.0594 0.5000 0.3655
F3 F 0.1709 0.1975 0.6646
F4 F 0.2335 0.0000 0.0363
```



No. 3
Diffraction record for Ni3OF5. The X-ray powder pattern is simulated, not measured: it uses a cell relaxed with GGA+U and a wavelength of 1.5418 Å.
No peak broadening, texture or thermal motion is included.

Top 10 peaks for 10 to 80 degrees two-theta, low angle first:
26.54°, intensity 88, hkl 1 1 1
27.05°, intensity 88, hkl -1 1 1
34.73°, intensity 100, hkl 1 -1 2
38.25°, intensity 17, hkl 2 0 0
52.33°, intensity 59, hkl 2 0 3
52.87°, intensity 28, hkl 1 -3 0
52.95°, intensity 27, hkl -1 1 4
54.65°, intensity 17, hkl 2 2 2
59.87°, intensity 16, hkl 0 2 -4
66.88°, intensity 36, hkl 0 4 1

Structure:
```
data_Ni3OF5
_chemical_formula_sum 'Ni6 O2 F10'
_cell_length_a 4.7056
_cell_length_b 5.6338
_cell_length_c 7.7633
_cell_angle_alpha 86.01
_cell_angle_beta 89.30
_cell_angle_gamma 89.15
_space_group_name_H-M_alt 'P -1'
_space_group_IT_number 2
loop_
_space_group_symop_operation_xyz
'x,y,z'
'-x,-y,-z'
loop_
_atom_site_label
_atom_site_type_symbol
_atom_site_fract_x
_atom_site_fract_y
_atom_site_fract_z
Ni1 Ni 0.0000 0.0000 0.0000
Ni2 Ni 0.0007 0.6687 0.3360
Ni3 Ni 0.4898 0.8350 0.6739
Ni4 Ni 0.5000 0.5000 0.0000
O1 O 0.3029 0.7958 0.9020
F1 F 0.1951 0.6310 0.5677
F2 F 0.1948 0.9671 0.2344
F3 F 0.2000 0.2960 0.8950
F4 F 0.3007 0.4644 0.2333
F5 F 0.3061 0.1337 0.5602
```



No. 4
Diffraction record for Ni6OF11. The X-ray powder pattern is simulated, not measured: it uses a cell relaxed with GGA+U and a wavelength of 1.5418 Å.
No peak broadening, texture or thermal motion is included.

Top 10 peaks for 10 to 80 degrees two-theta, low angle first:
26.73°, intensity 88, hkl 2 0 -2
26.93°, intensity 88, hkl 0 2 0
34.64°, intensity 100, hkl 3 1 0
38.31°, intensity 17, hkl 2 2 -2
52.48°, intensity 58, hkl 5 1 -2
52.71°, intensity 56, hkl 3 3 0
55.07°, intensity 17, hkl 4 0 -4
55.52°, intensity 16, hkl 0 4 0
59.57°, intensity 17, hkl 4 0 2
66.91°, intensity 41, hkl 5 3 -2

Structure:
```
data_Ni6OF11
_chemical_formula_sum 'Ni12 O2 F22'
_cell_length_a 9.1107
_cell_length_b 6.6207
_cell_length_c 7.3586
_cell_angle_alpha 90.00
_cell_angle_beta 112.11
_cell_angle_gamma 90.00
_space_group_name_H-M_alt 'C 1 2 1'
_space_group_IT_number 5
loop_
_space_group_symop_operation_xyz
'x,y,z'
'-x,y,-z'
'x+1/2,y+1/2,z'
'-x+1/2,y+1/2,-z'
loop_
_atom_site_label
_atom_site_type_symbol
_atom_site_fract_x
_atom_site_fract_y
_atom_site_fract_z
Ni1 Ni 0.0000 0.0000 0.0000
Ni2 Ni 0.0000 0.0082 0.5000
Ni3 Ni 0.1612 0.5130 0.1611
Ni4 Ni 0.1679 0.5092 0.6667
O1 O 0.0000 0.6987 0.0000
F1 F 0.0000 0.3037 0.0000
F2 F 0.0645 0.5071 0.3689
F3 F 0.1005 0.0061 0.2979
F4 F 0.1678 0.2050 0.6672
F5 F 0.1700 0.8147 0.6707
F6 F 0.2325 0.0055 0.0356
```



No. 5
Diffraction record for Ni3OF5. The X-ray powder pattern is simulated, not measured: it uses a cell relaxed with GGA+U and a wavelength of 1.5418 Å.
No peak broadening, texture or thermal motion is included.

Top 10 peaks for 10 to 80 degrees two-theta, low angle first:
26.84°, intensity 100, hkl 1 1 2
34.76°, intensity 57, hkl 1 0 -2
38.33°, intensity 10, hkl 0 2 2
39.85°, intensity 16, hkl 0 2 -1
52.70°, intensity 65, hkl 0 1 4
55.32°, intensity 19, hkl 2 -2 0
59.88°, intensity 9, hkl 2 2 -2
62.54°, intensity 10, hkl -1 3 2
66.79°, intensity 13, hkl 3 1 -2
67.01°, intensity 23, hkl -1 2 4

Structure:
```
data_Ni3OF5
_chemical_formula_sum 'Ni6 O2 F10'
_cell_length_a 5.6218
_cell_length_b 5.6257
_cell_length_c 7.3250
_cell_angle_alpha 72.28
_cell_angle_beta 72.26
_cell_angle_gamma 72.36
_space_group_name_H-M_alt 'P 1'
_space_group_IT_number 1
loop_
_space_group_symop_operation_xyz
'x,y,z'
loop_
_atom_site_label
_atom_site_type_symbol
_atom_site_fract_x
_atom_site_fract_y
_atom_site_fract_z
Ni1 Ni 0.0000 0.0000 0.0000
Ni2 Ni 0.0038 0.0102 0.4968
Ni3 Ni 0.3277 0.3353 0.1722
Ni4 Ni 0.3430 0.3425 0.6698
Ni5 Ni 0.6666 0.6651 0.8297
Ni6 Ni 0.6796 0.6553 0.3410
O1 O 0.5730 0.5655 0.6313
O2 O 0.9754 0.3622 0.3357
F1 F 0.0343 0.6443 0.6652
F2 F 0.1088 0.1075 0.7021
F3 F 0.2334 0.2323 0.9669
F4 F 0.3046 0.6982 0.0011
F5 F 0.3735 0.9636 0.3346
F6 F 0.4377 0.4330 0.3706
F7 F 0.6415 0.0325 0.6687
F8 F 0.6954 0.3037 0.0047
F9 F 0.7688 0.7645 0.0369
F10 F 0.9039 0.9001 0.2975
```



No. 6
Diffraction record for Ni3OF5. The X-ray powder pattern is simulated, not measured: it uses a cell relaxed with GGA+U and a wavelength of 1.5418 Å.
No peak broadening, texture or thermal motion is included.

Top 10 peaks for 10 to 80 degrees two-theta, low angle first:
26.79°, intensity 100, hkl 0 1 1
34.66°, intensity 57, hkl 3 0 1
38.24°, intensity 10, hkl 0 2 0
39.74°, intensity 16, hkl 3 1 1
52.56°, intensity 65, hkl 3 1 2
55.20°, intensity 19, hkl 0 2 2
59.68°, intensity 9, hkl 6 0 0
66.57°, intensity 13, hkl 6 1 1
66.78°, intensity 11, hkl 3 3 0
66.90°, intensity 11, hkl 3 0 3

Structure:
```
data_Ni3OF5
_chemical_formula_sum 'Ni6 O2 F10'
_cell_length_a 9.2965
_cell_length_b 4.7115
_cell_length_c 4.7022
_cell_angle_alpha 90.00
_cell_angle_beta 90.00
_cell_angle_gamma 90.00
_space_group_name_H-M_alt 'P m n 21'
_space_group_IT_number 31
loop_
_space_group_symop_operation_xyz
'x,y,z'
'-x+1/2,-y,z+1/2'
'-x,y,z'
'x+1/2,-y,z+1/2'
loop_
_atom_site_label
_atom_site_type_symbol
_atom_site_fract_x
_atom_site_fract_y
_atom_site_fract_z
Ni1 Ni 0.0000 0.2375 0.0000
Ni2 Ni 0.1631 0.7519 0.5164
O1 O 0.0000 0.9400 0.7066
F1 F 0.0000 0.5443 0.3078
F2 F 0.1666 0.0522 0.2081
F3 F 0.1687 0.4431 0.8160
```



No. 7
Diffraction record for Ni3OF5. The X-ray powder pattern is simulated, not measured: it uses a cell relaxed with GGA+U and a wavelength of 1.5418 Å.
No peak broadening, texture or thermal motion is included.

Top 10 peaks for 10 to 80 degrees two-theta, low angle first:
26.86°, intensity 100, hkl 1 1 -1
34.75°, intensity 57, hkl 2 0 1
38.34°, intensity 10, hkl 2 0 -2
39.85°, intensity 16, hkl 2 1 1
52.70°, intensity 64, hkl 3 1 0
55.35°, intensity 18, hkl 2 2 -2
59.85°, intensity 9, hkl 2 0 4
62.56°, intensity 10, hkl 3 1 -3
66.77°, intensity 13, hkl 3 1 3
67.03°, intensity 22, hkl 4 0 -1

Structure:
```
data_Ni3OF5
_chemical_formula_sum 'Ni6 O2 F10'
_cell_length_a 5.6231
_cell_length_b 4.6948
_cell_length_c 7.7594
_cell_angle_alpha 90.00
_cell_angle_beta 93.85
_cell_angle_gamma 90.00
_space_group_name_H-M_alt 'P 1 21 1'
_space_group_IT_number 4
loop_
_space_group_symop_operation_xyz
'x,y,z'
'-x,y+1/2,-z'
loop_
_atom_site_label
_atom_site_type_symbol
_atom_site_fract_x
_atom_site_fract_y
_atom_site_fract_z
Ni1 Ni 0.0768 0.0000 0.3303
Ni2 Ni 0.2519 0.5009 0.9924
Ni3 Ni 0.4123 0.9782 0.6679
O1 O 0.2136 0.6864 0.7662
F1 F 0.0455 0.7913 0.1016
F2 F 0.1202 0.1882 0.5652
F3 F 0.2849 0.2973 0.2263
F4 F 0.3816 0.7935 0.4291
F5 F 0.4503 0.1867 0.8978
```



No. 8
Diffraction record for Ni6OF11. The X-ray powder pattern is simulated, not measured: it uses a cell relaxed with GGA+U and a wavelength of 1.5418 Å.
No peak broadening, texture or thermal motion is included.

Top 10 peaks for 10 to 80 degrees two-theta, low angle first:
26.74°, intensity 88, hkl 0 6 0
26.91°, intensity 89, hkl 0 0 2
34.75°, intensity 100, hkl 1 3 1
38.30°, intensity 17, hkl 0 6 2
52.57°, intensity 58, hkl 1 9 1
52.77°, intensity 57, hkl 1 3 3
55.09°, intensity 17, hkl 0 12 0
59.88°, intensity 17, hkl 2 0 0
66.78°, intensity 23, hkl 2 0 2
66.97°, intensity 41, hkl 1 9 3

Structure:
```
data_Ni6OF11
_chemical_formula_sum 'Ni12 O2 F22'
_cell_length_a 3.0893
_cell_length_b 20.0059
_cell_length_c 6.6255
_cell_angle_alpha 90.00
_cell_angle_beta 90.00
_cell_angle_gamma 90.00
_space_group_name_H-M_alt 'A m m 2'
_space_group_IT_number 38
loop_
_space_group_symop_operation_xyz
'x,y,z'
'-x,-y,z'
'-x,y,z'
'x,-y,z'
'x,y+1/2,z+1/2'
'-x,-y+1/2,z+1/2'
'-x,y+1/2,z+1/2'
'x,-y+1/2,z+1/2'
loop_
_atom_site_label
_atom_site_type_symbol
_atom_site_fract_x
_atom_site_fract_y
_atom_site_fract_z
Ni1 Ni 0.0000 0.0000 0.0000
Ni2 Ni 0.0000 0.1666 0.4924
Ni3 Ni 0.5000 0.0000 0.4887
Ni4 Ni 0.5000 0.1670 0.9916
O1 O 0.5000 0.0000 0.1857
F1 F 0.0000 0.0660 0.4925
F2 F 0.0000 0.1016 0.9923
F3 F 0.0000 0.2323 0.9921
F4 F 0.5000 0.0000 0.7948
F5 F 0.5000 0.1666 0.2954
F6 F 0.5000 0.1670 0.6886
```



What did the fourth record say?
Diffraction record for Ni6OF11. The X-ray powder pattern is simulated, not measured: it uses a cell relaxed with GGA+U and a wavelength of 1.5418 Å.
No peak broadening, texture or thermal motion is included.

Top 10 peaks for 10 to 80 degrees two-theta, low angle first:
26.73°, intensity 88, hkl 2 0 -2
26.93°, intensity 88, hkl 0 2 0
34.64°, intensity 100, hkl 3 1 0
38.31°, intensity 17, hkl 2 2 -2
52.48°, intensity 58, hkl 5 1 -2
52.71°, intensity 56, hkl 3 3 0
55.07°, intensity 17, hkl 4 0 -4
55.52°, intensity 16, hkl 0 4 0
59.57°, intensity 17, hkl 4 0 2
66.91°, intensity 41, hkl 5 3 -2

Structure:
```
data_Ni6OF11
_chemical_formula_sum 'Ni12 O2 F22'
_cell_length_a 9.1107
_cell_length_b 6.6207
_cell_length_c 7.3586
_cell_angle_alpha 90.00
_cell_angle_beta 112.11
_cell_angle_gamma 90.00
_space_group_name_H-M_alt 'C 1 2 1'
_space_group_IT_number 5
loop_
_space_group_symop_operation_xyz
'x,y,z'
'-x,y,-z'
'x+1/2,y+1/2,z'
'-x+1/2,y+1/2,-z'
loop_
_atom_site_label
_atom_site_type_symbol
_atom_site_fract_x
_atom_site_fract_y
_atom_site_fract_z
Ni1 Ni 0.0000 0.0000 0.0000
Ni2 Ni 0.0000 0.0082 0.5000
Ni3 Ni 0.1612 0.5130 0.1611
Ni4 Ni 0.1679 0.5092 0.6667
O1 O 0.0000 0.6987 0.0000
F1 F 0.0000 0.3037 0.0000
F2 F 0.0645 0.5071 0.3689
F3 F 0.1005 0.0061 0.2979
F4 F 0.1678 0.2050 0.6672
F5 F 0.1700 0.8147 0.6707
F6 F 0.2325 0.0055 0.0356
```